Calculated powder X-ray diffraction pattern of In7GaPb12 for Cu Kα (λ = 1.5418 Å), from a cell relaxed with PBE.

Crystal structure
```
20
Lattice="7.3925 0.0000 0.0000 3.5975 8.5167 0.0000 2.2161 1.8743 9.5403" Properties=species:S:1:pos:R:3 pbc="T T T"
In 0.0000 0.0000 0.0000
In 4.2875 4.3121 8.8013
In 5.8188 6.7608 1.8502
In 8.1824 9.2353 7.4213
In 5.0238 1.1558 2.1190
In 7.3874 3.6302 7.6901
In 8.9186 6.0790 0.7390
Ga 3.6963 0.0000 0.0000
Pb 1.5913 1.5933 2.7069
Pb 2.7315 2.9029 5.8144
Pb 3.8368 4.2331 2.6715
Pb 5.1707 5.4869 5.7235
Pb 6.4244 6.8461 8.7370
Pb 7.0826 8.0773 4.6659
Pb 6.1235 2.3138 4.8743
Pb 6.7818 3.5449 0.8032
Pb 8.0355 4.9042 3.8168
Pb 9.3693 6.1579 6.8688
Pb 10.4747 7.4881 3.7258
Pb 11.6149 8.7978 6.8334
```

Principal peaks in the range 2θ from 10° to 90°, low angle first:
- 2θ 29.37, I 61
- 2θ 30.96, I 56
- 2θ 31.55, I 72
- 2θ 31.92, I 100
- 2θ 34.25, I 48
- 2θ 35.26, I 54